Diffraction record for K2Ca2MgS4O18. The powder diffraction line list is simulated, not measured: it uses a structure optimized by DFT (GGA-PBE) and Cu Kα, 1.54184 Å.
Kinematic intensities with the Lorentz-polarization factor, no thermal factor.

Cell and atoms:
a b c (Å): 6.8660 7.0196 9.0254
angles (deg): 99.73 104.63 112.19
Space group P-1 (No. 2)
One atom of each set of equivalent atoms:
K  0.2111  0.4872  0.4267
Ca  0.3686  0.1354  0.7481
Mg  0.0000  0.0000  0.0000
S  0.1890  0.9553  0.3610
S  0.4249  0.6855  0.8610
O  0.0041  0.3033  0.0963
O  0.0117  0.9792  0.2340
O  0.0771  0.8254  0.4548
O  0.2959  0.8477  0.2783
O  0.3041  0.7750  0.7544
O  0.3140  0.6267  0.9804
O  0.3408  0.1465  0.0411
O  0.3531  0.1742  0.4713
O  0.4304  0.4985  0.7616

Peak list (10 most intense, 2θ = 15–90°, by angle)
2theta	Rel. int.	(hkl)
25.86	31	1 -2 0
27.54	75	0 2 -1
28.07	100	2 0 -1
29.10	40	0 1 2
29.27	19	-1 2 1
30.10	57	1 0 2
30.39	44	1 0 -3
31.11	90	2 -2 0
48.33	18	0 3 1
50.78	23	3 0 1

---

Diffraction record for KCaN. The powder diffraction line list is simulated, not measured: it uses a structure optimized by DFT (GGA-PBE) and Cu Kα, 1.54184 Å.
Kinematic intensities with the Lorentz-polarization factor, no thermal factor.

Cell and atoms:
a b c (Å): 7.6752 4.3650 6.9498
angles (deg): 90.00 90.00 90.00
Space group Pnma (No. 62)
One atom of each set of equivalent atoms:
K  0.0470  0.2500  0.1525
Ca  0.1444  0.2500  0.5874
N  0.1723  0.7500  0.3917

Peak list (10 most intense, 2θ = 15–90°, by angle)
2theta	Rel. int.	(hkl)
28.19	17	1 0 2
31.03	44	2 1 0
33.66	37	2 1 1
35.02	100	1 1 2
37.46	32	3 0 1
41.37	32	0 2 0
43.95	12	3 0 2
44.26	10	0 1 3
57.03	15	3 2 1
71.34	9	1 3 2